# 1
Diffraction record for Tl5Hg2Bi2. The X-ray powder pattern is calculated, not measured: it uses a DFT-relaxed cell (PBE, Alexandria) and Cu Kα (weighted mean of Kα1 and Kα2).
Intensities are scaled so that the largest is 100.

Structural model:
```
data_Tl5Hg2Bi2
_chemical_formula_sum 'Tl10 Hg4 Bi4'
_space_group_name_H-M_alt 'P 1'
_space_group_IT_number 1
_space_group_name_Hall 'P 1'
_cell_length_a 6.7586
_cell_length_b 9.3188
_cell_length_c 9.3804
_cell_angle_alpha 105.87
_cell_angle_beta 94.61
_cell_angle_gamma 94.26
loop_
_atom_site_label
_atom_site_type_symbol
_atom_site_fract_x
_atom_site_fract_y
_atom_site_fract_z
_atom_site_occupancy
Tl1 Tl 0.0000 0.0000 0.0000 1
Tl2 Tl 0.0074 0.5630 0.9670 1
Tl3 Tl 0.0545 0.0780 0.6675 1
Tl4 Tl 0.3175 0.1940 0.3667 1
Tl5 Tl 0.3328 0.5633 0.4025 1
Tl6 Tl 0.5042 0.9620 0.5689 1
Tl7 Tl 0.5514 0.6741 0.1045 1
Tl8 Tl 0.6545 0.7187 0.7644 1
Tl9 Tl 0.8217 0.3603 0.2025 1
Tl10 Tl 0.8337 0.3881 0.5750 1
Hg1 Hg 0.1664 0.7452 0.7234 1
Hg2 Hg 0.1873 0.8321 0.2574 1
Hg3 Hg 0.4951 0.9967 0.0127 1
Hg4 Hg 0.7018 0.2359 0.8448 1
Bi1 Bi 0.3149 0.3188 0.0508 1
Bi2 Bi 0.3383 0.4088 0.7289 1
Bi3 Bi 0.8075 0.0426 0.3292 1
Bi4 Bi 0.8362 0.7125 0.4283 1
```

The 8 most intense peaks (5 to 70 degrees two-theta), low angle first:
2θ/deg  Rel. int.  index
29.44  100  1 1 2
29.52  43  1 2 1
30.97  55  0 2 -3
31.07  54  0 3 -2
31.63  66  2 0 -2
31.75  40  2 -2 0
32.66  61  1 -1 3
34.23  65  1 -2 3

# 2
Diffraction record for Tl2Hg3Bi. The X-ray powder pattern is calculated, not measured: it uses a DFT-relaxed cell (PBE, Alexandria) and Cu Kα (weighted mean of Kα1 and Kα2).
Intensities are scaled so that the largest is 100.

Structural model:
```
data_Tl2Hg3Bi
_chemical_formula_sum 'Tl4 Hg6 Bi2'
_space_group_name_H-M_alt 'C 1 m 1'
_space_group_IT_number 8
_space_group_name_Hall 'C -2y'
_cell_length_a 12.1352
_cell_length_b 5.0359
_cell_length_c 7.8400
_cell_angle_alpha 90.00
_cell_angle_beta 130.06
_cell_angle_gamma 90.00
loop_
_atom_site_label
_atom_site_type_symbol
_atom_site_fract_x
_atom_site_fract_y
_atom_site_fract_z
_atom_site_occupancy
Tl1 Tl 0.0000 0.0000 0.0000 1
Tl2 Tl 0.1030 0.0000 0.6031 1
Hg1 Hg 0.2139 0.5000 0.4262 1
Hg2 Hg 0.3881 0.0000 0.5989 1
Hg3 Hg 0.3999 0.0000 0.2098 1
Bi1 Bi 0.2125 0.5000 0.0144 1
```

The 8 most intense peaks (5 to 70 degrees two-theta), low angle first:
2θ/deg  Rel. int.  index
28.51  45  1 1 1
29.83  35  4 0 -2
30.46  100  1 1 -2
33.99  73  3 1 0
35.67  71  0 2 0
47.15  20  4 2 -2
51.34  19  4 2 -3
59.77  17  4 2 -4

# 3
Diffraction record for Tl2Hg4Bi. The X-ray powder pattern is calculated, not measured: it uses a DFT-relaxed cell (PBE, Alexandria) and Cu Kα (weighted mean of Kα1 and Kα2).
Intensities are scaled so that the largest is 100.

Structural model:
```
data_Tl2Hg4Bi
_chemical_formula_sum 'Tl4 Hg8 Bi2'
_space_group_name_H-M_alt 'C m m m'
_space_group_IT_number 65
_space_group_name_Hall '-C 2 2'
_cell_length_a 11.1703
_cell_length_b 11.8416
_cell_length_c 3.2912
_cell_angle_alpha 90.00
_cell_angle_beta 90.00
_cell_angle_gamma 90.00
loop_
_atom_site_label
_atom_site_type_symbol
_atom_site_fract_x
_atom_site_fract_y
_atom_site_fract_z
_atom_site_occupancy
Tl1 Tl 0.2500 0.2500 0.0000 1
Hg1 Hg 0.0000 0.1349 0.0000 1
Hg2 Hg 0.2248 0.0000 0.5000 1
Bi1 Bi 0.0000 0.5000 0.5000 1
```

The 8 most intense peaks (5 to 70 degrees two-theta), low angle first:
2θ/deg  Rel. int.  index
23.91  39  1 3 0
31.09  100  0 2 1
32.05  73  4 0 0
33.07  40  3 3 0
34.28  64  2 4 0
35.09  36  2 2 1
37.25  48  3 1 1
45.26  62  4 2 1

# 4
Diffraction record for Tl5Hg6Bi2. The X-ray powder pattern is calculated, not measured: it uses a DFT-relaxed cell (PBE, Alexandria) and Cu Kα (weighted mean of Kα1 and Kα2).
Intensities are scaled so that the largest is 100.

Structural model:
```
data_Tl5Hg6Bi2
_chemical_formula_sum 'Tl5 Hg6 Bi2'
_space_group_name_H-M_alt 'P -1'
_space_group_IT_number 2
_space_group_name_Hall '-P 1'
_cell_length_a 6.0510
_cell_length_b 8.4261
_cell_length_c 9.1118
_cell_angle_alpha 66.48
_cell_angle_beta 89.89
_cell_angle_gamma 69.08
loop_
_atom_site_label
_atom_site_type_symbol
_atom_site_fract_x
_atom_site_fract_y
_atom_site_fract_z
_atom_site_occupancy
Tl1 Tl 0.0000 0.0000 0.0000 1
Tl2 Tl 0.0654 0.2354 0.5905 1
Tl3 Tl 0.1659 0.5043 0.1671 1
Hg1 Hg 0.3416 0.9472 0.4117 1
Hg2 Hg 0.4120 0.1708 0.0501 1
Hg3 Hg 0.4588 0.3894 0.6777 1
Bi1 Bi 0.1939 0.7417 0.7649 1
```

The 8 most intense peaks (5 to 70 degrees two-theta), low angle first:
2θ/deg  Rel. int.  index
29.07  30  1 1 -2
29.31  66  0 1 -2
29.44  41  0 1 3
31.47  93  2 1 1
32.12  100  -1 2 1
33.15  87  1 3 2
33.40  50  -1 1 3
35.79  56  2 2 -1

# 5
Diffraction record for Tl14HgBi. The X-ray powder pattern is calculated, not measured: it uses a DFT-relaxed cell (PBE, Alexandria) and Cu Kα (weighted mean of Kα1 and Kα2).
Intensities are scaled so that the largest is 100.

Structural model:
```
data_Tl14HgBi
_chemical_formula_sum 'Tl14 Hg1 Bi1'
_space_group_name_H-M_alt 'P 4/m m m'
_space_group_IT_number 123
_space_group_name_Hall '-P 4 2'
_cell_length_a 6.8364
_cell_length_b 6.8364
_cell_length_c 10.5161
_cell_angle_alpha 90.00
_cell_angle_beta 90.00
_cell_angle_gamma 90.00
loop_
_atom_site_label
_atom_site_type_symbol
_atom_site_fract_x
_atom_site_fract_y
_atom_site_fract_z
_atom_site_occupancy
Tl1 Tl 0.0000 0.0000 0.0000 1
Tl2 Tl 0.0000 0.5000 0.0000 1
Tl3 Tl 0.0000 0.5000 0.5000 1
Tl4 Tl 0.2492 0.2492 0.2531 1
Tl5 Tl 0.5000 0.5000 0.0000 1
Hg1 Hg 0.5000 0.5000 0.5000 1
Bi1 Bi 0.0000 0.0000 0.5000 1
```

The 8 most intense peaks (5 to 70 degrees two-theta), low angle first:
2θ/deg  Rel. int.  index
31.21  100  2 0 2
34.10  20  0 0 4
37.20  32  2 2 0
51.35  25  2 2 4
53.62  11  4 0 0
59.25  17  2 0 6
63.36  27  4 2 2
65.10  13  4 0 4

# 6
Diffraction record for Tl5Hg4Bi4. The X-ray powder pattern is calculated, not measured: it uses a DFT-relaxed cell (PBE, Alexandria) and Cu Kα (weighted mean of Kα1 and Kα2).
Intensities are scaled so that the largest is 100.

Structural model:
```
data_Tl5Hg4Bi4
_chemical_formula_sum 'Tl5 Hg4 Bi4'
_space_group_name_H-M_alt 'P -1'
_space_group_IT_number 2
_space_group_name_Hall '-P 1'
_cell_length_a 6.5986
_cell_length_b 6.9421
_cell_length_c 9.4498
_cell_angle_alpha 101.18
_cell_angle_beta 103.36
_cell_angle_gamma 91.68
loop_
_atom_site_label
_atom_site_type_symbol
_atom_site_fract_x
_atom_site_fract_y
_atom_site_fract_z
_atom_site_occupancy
Tl1 Tl 0.0000 0.0000 0.0000 1
Tl2 Tl 0.3940 0.8902 0.6425 1
Tl3 Tl 0.4454 0.2313 0.9842 1
Hg1 Hg 0.0394 0.8727 0.3123 1
Hg2 Hg 0.1023 0.5557 0.8719 1
Bi1 Bi 0.1590 0.3387 0.4529 1
Bi2 Bi 0.4294 0.5754 0.2855 1
```

The 8 most intense peaks (5 to 70 degrees two-theta), low angle first:
2θ/deg  Rel. int.  index
29.98  49  0 1 -3
30.36  51  2 1 -1
31.18  100  -1 2 1
31.50  34  1 2 -2
32.19  55  1 1 2
32.85  55  2 -1 1
35.06  29  1 2 1
35.75  31  2 0 -3